# 1
Starting from the PBE geometry in Alexandria, the PXRD pattern of Li4CdAg2 was calculated for Cu Kα.

Peak list (6 most intense, 2θ from 10° to 90°, most intense first)
2theta, I (rel.), hkl
27.74, 100, 1 1 0
39.53, 95, 1 1 4
20.70, 64, 1 0 1
27.60, 49, 0 0 4
39.63, 48, 2 0 0
48.97, 39, 2 0 4

```
data_Li4CdAg2
_chemical_formula_sum 'Li8 Cd2 Ag4'
_space_group_name_H-M_alt 'I 4/m m m'
_space_group_IT_number 139
_space_group_name_Hall '-I 4 2'
_cell_length_a 4.5487
_cell_length_b 4.5487
_cell_length_c 12.9287
_cell_angle_alpha 90.00
_cell_angle_beta 90.00
_cell_angle_gamma 90.00
loop_
_atom_site_label
_atom_site_fract_x
_atom_site_fract_y
_atom_site_fract_z
_atom_site_occupancy
Li1 0.0000 0.5000 0.1292 1
Cd1 0.0000 0.0000 0.0000 1
Ag1 0.0000 0.0000 0.2417 1
```

***

# 2
Starting from the PBE geometry in Alexandria, the PXRD pattern of Li7CdAg2 was calculated for Cu Kα.

Peak list (6 most intense, 2θ from 10° to 90°, most intense first)
2theta, I (rel.), hkl
24.21, 100, 1 0 1
28.79, 41, 0 1 2
35.23, 38, 1 0 3
39.47, 38, 1 1 0
42.81, 27, 0 1 4
17.75, 26, 0 0 2

```
data_Li7CdAg2
_chemical_formula_sum 'Li7 Cd1 Ag2'
_space_group_name_H-M_alt 'P 3 m 1'
_space_group_IT_number 156
_cell_length_a 4.5658
_cell_length_b 4.5658
_cell_length_c 9.9943
_cell_angle_alpha 90.00
_cell_angle_beta 90.00
_cell_angle_gamma 120.00
loop_
_space_group_symop_operation_xyz
'x,y,z'
'-y,x-y,z'
'-x+y,-x,z'
'-y,-x,z'
'-x+y,y,z'
'x,x-y,z'
loop_
_atom_site_label
_atom_site_fract_x
_atom_site_fract_y
_atom_site_fract_z
_atom_site_occupancy
Li1 0.0000 0.0000 0.0000 1
Li2 0.0000 0.0000 0.2440 1
Li3 0.0000 0.0000 0.4986 1
Li4 0.3333 0.6667 0.0398 1
Li5 0.3333 0.6667 0.6563 1
Li6 0.6667 0.3333 0.4509 1
Li7 0.6667 0.3333 0.8449 1
Cd1 0.3333 0.6667 0.3363 1
Ag1 0.0000 0.0000 0.7493 1
Ag2 0.6667 0.3333 0.1524 1
```

***

# 3
Starting from the PBE geometry in Alexandria, the PXRD pattern of Li3CdAg3 was calculated for Cu Kα.

Peak list (6 most intense, 2θ from 10° to 90°, most intense first)
2theta, I (rel.), hkl
29.63, 100, 2 -1 3
39.16, 65, 3 -1 1
35.95, 44, 0 2 4
17.75, 43, 0 1 2
40.49, 42, 1 1 6
15.32, 24, 1 0 1

```
data_Li3CdAg3
_chemical_formula_sum 'Li18 Cd6 Ag18'
_space_group_name_H-M_alt 'R -3'
_space_group_IT_number 148
_space_group_name_Hall '-R 3'
_cell_length_a 7.0923
_cell_length_b 7.0923
_cell_length_c 17.1844
_cell_angle_alpha 90.00
_cell_angle_beta 90.00
_cell_angle_gamma 120.00
loop_
_atom_site_label
_atom_site_fract_x
_atom_site_fract_y
_atom_site_fract_z
_atom_site_occupancy
Li1 0.0227 0.7721 0.0622 1
Cd1 0.0000 0.0000 0.3556 1
Ag1 0.0467 0.7771 0.2152 1
```

***

# 4
Starting from the PBE geometry in Alexandria, the PXRD pattern of LiCd4Ag2 was calculated for Cu Kα.

Peak list (6 most intense, 2θ from 10° to 90°, most intense first)
2theta, I (rel.), hkl
39.35, 100, 2 0 1
39.73, 97, 0 4 1
37.31, 87, 2 4 0
29.12, 69, 2 2 0
32.07, 60, 0 2 1
32.72, 51, 2 3 0

```
data_LiCd4Ag2
_chemical_formula_sum 'Li2 Cd8 Ag4'
_space_group_name_H-M_alt 'P b a m'
_space_group_IT_number 55
_cell_length_a 6.8869
_cell_length_b 13.4955
_cell_length_c 3.0658
_cell_angle_alpha 90.00
_cell_angle_beta 90.00
_cell_angle_gamma 90.00
loop_
_space_group_symop_operation_xyz
'x,y,z'
'-x,-y,-z'
'-x,-y,z'
'x,y,-z'
'x+1/2,-y+1/2,-z'
'-x+1/2,y+1/2,z'
'-x+1/2,y+1/2,-z'
'x+1/2,-y+1/2,z'
loop_
_atom_site_label
_atom_site_fract_x
_atom_site_fract_y
_atom_site_fract_z
_atom_site_occupancy
Li1 0.0000 0.0000 0.0000 1
Cd1 0.0313 0.2306 0.0000 1
Cd2 0.1735 0.5892 0.5000 1
Ag1 0.2463 0.3812 0.5000 1
```

***

# 5
Starting from the PBE geometry in Alexandria, the PXRD pattern of LiCdAg was calculated for Cu Kα.

Peak list (6 most intense, 2θ from 10° to 90°, most intense first)
2theta, I (rel.), hkl
37.29, 100, 0 1 3
37.49, 99, 1 1 0
42.73, 92, 1 0 3
24.12, 75, 0 1 1
19.70, 47, 0 0 2
63.67, 39, 1 2 3

```
data_LiCdAg
_chemical_formula_sum 'Li2 Cd2 Ag2'
_space_group_name_H-M_alt 'I m m 2'
_space_group_IT_number 44
_cell_length_a 2.9795
_cell_length_b 4.0438
_cell_length_c 9.0113
_cell_angle_alpha 90.00
_cell_angle_beta 90.00
_cell_angle_gamma 90.00
loop_
_space_group_symop_operation_xyz
'x,y,z'
'-x,-y,z'
'-x,y,z'
'x,-y,z'
'x+1/2,y+1/2,z+1/2'
'-x+1/2,-y+1/2,z+1/2'
'-x+1/2,y+1/2,z+1/2'
'x+1/2,-y+1/2,z+1/2'
loop_
_atom_site_label
_atom_site_fract_x
_atom_site_fract_y
_atom_site_fract_z
_atom_site_occupancy
Li1 0.0000 0.0000 0.0000 1
Cd1 0.0000 0.0000 0.3289 1
Ag1 0.0000 0.0000 0.6548 1
```

***

# 6
Starting from the PBE geometry in Alexandria, the PXRD pattern of Li2Cd3Ag7 was calculated for Cu Kα.

Peak list (6 most intense, 2θ from 10° to 90°, most intense first)
2theta, I (rel.), hkl
37.98, 100, 1 1 2
39.27, 40, 1 1 -3
37.38, 36, 2 0 -1
40.19, 33, 1 0 6
28.38, 31, 0 0 5
38.19, 25, 0 1 4

```
data_Li2Cd3Ag7
_chemical_formula_sum 'Li2 Cd3 Ag7'
_space_group_name_H-M_alt 'P 1 2/m 1'
_space_group_IT_number 10
_cell_length_a 4.8271
_cell_length_b 2.9436
_cell_length_c 15.7565
_cell_angle_alpha 90.00
_cell_angle_beta 93.57
_cell_angle_gamma 90.00
loop_
_space_group_symop_operation_xyz
'x,y,z'
'-x,-y,-z'
'-x,y,-z'
'x,-y,z'
loop_
_atom_site_label
_atom_site_fract_x
_atom_site_fract_y
_atom_site_fract_z
_atom_site_occupancy
Li1 0.2162 0.0000 0.2925 1
Cd1 0.0000 0.0000 0.0000 1
Cd2 0.2733 0.5000 0.6279 1
Ag1 0.1974 0.5000 0.1517 1
Ag2 0.2412 0.0000 0.4541 1
Ag3 0.2970 0.0000 0.8028 1
Ag4 0.5000 0.5000 0.0000 1
```

***

Copy entry 4 word for word.
Starting from the PBE geometry in Alexandria, the PXRD pattern of LiCd4Ag2 was calculated for Cu Kα.

Peak list (6 most intense, 2θ from 10° to 90°, most intense first)
2theta, I (rel.), hkl
39.35, 100, 2 0 1
39.73, 97, 0 4 1
37.31, 87, 2 4 0
29.12, 69, 2 2 0
32.07, 60, 0 2 1
32.72, 51, 2 3 0

```
data_LiCd4Ag2
_chemical_formula_sum 'Li2 Cd8 Ag4'
_space_group_name_H-M_alt 'P b a m'
_space_group_IT_number 55
_cell_length_a 6.8869
_cell_length_b 13.4955
_cell_length_c 3.0658
_cell_angle_alpha 90.00
_cell_angle_beta 90.00
_cell_angle_gamma 90.00
loop_
_space_group_symop_operation_xyz
'x,y,z'
'-x,-y,-z'
'-x,-y,z'
'x,y,-z'
'x+1/2,-y+1/2,-z'
'-x+1/2,y+1/2,z'
'-x+1/2,y+1/2,-z'
'x+1/2,-y+1/2,z'
loop_
_atom_site_label
_atom_site_fract_x
_atom_site_fract_y
_atom_site_fract_z
_atom_site_occupancy
Li1 0.0000 0.0000 0.0000 1
Cd1 0.0313 0.2306 0.0000 1
Cd2 0.1735 0.5892 0.5000 1
Ag1 0.2463 0.3812 0.5000 1
```